The following is a computed PXRD pattern of TbEr3Sc3. It was derived from DFT lattice parameters and positions (PBE), using Cu Kα.
Peak positions follow from Bragg's law for the DFT cell and can differ from measured ones.

Largest 10 diffraction maxima, sorted by position, 2θ = 5–70°:
index	2θ (°)	I (rel.)
1 0 0	11.1	14
1 1 1	25.4	13
1 2 0	29.7	28
0 0 2	33.1	24
1 2 1	34.1	100
1 2 2	45.1	18
4 1 0	52.7	19
1 2 3	59.8	20
4 1 2	63.7	21
2 4 1	64.3	16

Atomic structure:
```
data_TbEr3Sc3
_chemical_formula_sum 'Tb2 Er6 Sc6'
_space_group_name_H-M_alt 'P 63/m'
_space_group_IT_number 176
_space_group_name_Hall '-P 6c'
_cell_length_a 9.1892
_cell_length_b 9.1892
_cell_length_c 5.4141
_cell_angle_alpha 90.00
_cell_angle_beta 90.00
_cell_angle_gamma 120.00
loop_
_atom_site_label
_atom_site_type_symbol
_atom_site_fract_x
_atom_site_fract_y
_atom_site_fract_z
Tb1 Tb 0.3333 0.6667 0.2500
Er1 Er 0.0478 0.8046 0.2500
Sc1 Sc 0.0958 0.6150 0.7500
```



The following is a computed PXRD pattern of Tb3Er8Sc3. It was derived from DFT lattice parameters and positions (PBE), using Cu Kα.
Peak positions follow from Bragg's law for the DFT cell and can differ from measured ones.

Largest 10 diffraction maxima, sorted by position, 2θ = 5–70°:
index	2θ (°)	I (rel.)
4 0 -1	22.0	16
3 1 -2	27.6	22
5 1 -1	32.0	45
1 1 -3	32.3	32
3 1 2	32.6	100
6 0 -1	32.7	17
0 2 0	33.2	56
3 1 -3	33.9	40
3 3 2	58.9	20
3 3 -3	59.7	19

Atomic structure:
```
data_Tb3Er8Sc3
_chemical_formula_sum 'Tb6 Er16 Sc6'
_space_group_name_H-M_alt 'C 1 2/m 1'
_space_group_IT_number 12
_space_group_name_Hall '-C 2y'
_cell_length_a 16.445
_cell_length_b 5.397
_cell_length_c 9.712
_cell_angle_alpha 90.00
_cell_angle_beta 103.36
_cell_angle_gamma 90.00
loop_
_atom_site_label
_atom_site_type_symbol
_atom_site_fract_x
_atom_site_fract_y
_atom_site_fract_z
Tb1 Tb 0.000 0.000 0.000
Tb2 Tb 0.034 0.500 0.747
Er1 Er 0.118 0.000 0.314
Er2 Er 0.168 0.000 0.734
Er3 Er 0.175 0.500 0.510
Er4 Er 0.240 0.000 0.096
Sc1 Sc 0.000 0.000 0.500
Sc2 Sc 0.129 0.500 0.115
```



The following is a computed PXRD pattern of Tb8Er4Sc. It was derived from DFT lattice parameters and positions (PBE), using Cu Kα.
Peak positions follow from Bragg's law for the DFT cell and can differ from measured ones.

Largest 10 diffraction maxima, sorted by position, 2θ = 5–70°:
index	2θ (°)	I (rel.)
0 2 1	28.8	26
0 0 9	29.5	39
0 2 4	31.5	100
2 0 5	33.1	56
2 0 8	39.2	28
2 2 0	50.7	31
0 2 13	52.7	21
2 2 9	59.8	29
4 0 4	60.9	14
0 4 5	61.9	12

Atomic structure:
```
data_Tb8Er4Sc
_chemical_formula_sum 'Tb24 Er12 Sc3'
_space_group_name_H-M_alt 'R -3 m'
_space_group_IT_number 166
_space_group_name_Hall '-R 3 2"'
_cell_length_a 7.2053
_cell_length_b 7.2053
_cell_length_c 27.2122
_cell_angle_alpha 90.00
_cell_angle_beta 90.00
_cell_angle_gamma 120.00
loop_
_atom_site_label
_atom_site_type_symbol
_atom_site_fract_x
_atom_site_fract_y
_atom_site_fract_z
Tb1 Tb 0.0000 0.0000 0.2160
Tb2 Tb 0.0299 0.5149 0.7679
Er1 Er 0.0000 0.0000 0.0000
Er2 Er 0.0000 0.5000 0.0000
Sc1 Sc 0.0000 0.0000 0.5000
```